[1]
Simulated X-ray powder pattern of CaAcNb2O8 for Cu Kα (λ = 1.5418 Å), from DFT lattice parameters and positions (PBE).
Peak positions follow from Bragg's law for the DFT cell and can differ from measured ones.

Largest 8 diffraction maxima, by intensity, 2θ from 10° to 80°:
- d 4.250, 20.90°, rel. 100
- d 3.027, 29.51°, rel. 92
- d 2.984, 29.95°, rel. 84
- d 7.258, 12.20°, rel. 71
- d 2.794, 32.03°, rel. 52
- d 5.244, 16.91°, rel. 49
- d 2.125, 42.54°, rel. 49
- d 1.739, 52.62°, rel. 39

Cell and atoms:
```
CaAcNb2O8
1.0
6.0548 0.0000 0.0000
-3.0274 5.2436 0.0000
0.0000 0.0000 7.2575
Ca Ac Nb O
1 1 2 8
Direct
0.0000 0.0000 0.0000
0.0000 0.0000 0.5000
0.3333 0.6667 0.7041
0.6667 0.3333 0.2959
0.1589 0.3177 0.7717
0.1589 0.8411 0.7717
0.3177 0.1589 0.2283
0.3333 0.6667 0.4528
0.6667 0.3333 0.5472
0.6823 0.8411 0.7717
0.8411 0.1589 0.2283
0.8411 0.6823 0.2283
```

---

[2]
Simulated X-ray powder pattern of DyUAsN2 for Cu Kα (λ = 1.5418 Å), from DFT lattice parameters and positions (PBE).
Peak positions follow from Bragg's law for the DFT cell and can differ from measured ones.

Largest 8 diffraction maxima, by intensity, 2θ from 10° to 80°:
- d 2.747, 32.60°, rel. 100
- d 2.698, 33.20°, rel. 44
- d 1.567, 58.94°, rel. 38
- d 3.633, 24.50°, rel. 22
- d 1.908, 47.66°, rel. 20
- d 1.596, 57.78°, rel. 19
- d 5.937, 14.92°, rel. 11
- d 1.997, 45.42°, rel. 10

Cell and atoms:
```
DyUAsN2
1.0
-1.9079 1.9079 5.9369
1.9079 -1.9079 5.9369
1.9079 1.9079 -5.9369
Dy U As N
1 1 1 2
Direct
0.0000 0.0000 0.0000
0.3102 0.3102 0.0000
0.6618 0.6618 0.0000
0.3923 0.8923 0.5000
0.8923 0.3923 0.5000
```

---

[3]
Simulated X-ray powder pattern of BaCdPbBr6 for Cu Kα (λ = 1.5418 Å), from DFT lattice parameters and positions (PBE).
Peak positions follow from Bragg's law for the DFT cell and can differ from measured ones.

Largest 8 diffraction maxima, by intensity, 2θ from 10° to 80°:
- d 2.560, 35.05°, rel. 100
- d 4.768, 18.61°, rel. 87
- d 3.321, 26.84°, rel. 82
- d 2.183, 41.36°, rel. 63
- d 2.331, 38.62°, rel. 30
- d 2.962, 30.17°, rel. 25
- d 1.661, 55.32°, rel. 24
- d 1.360, 69.04°, rel. 24

Cell and atoms:
```
BaCdPbBr6
1.0
7.5595 0.0000 0.0000
-3.7798 6.5467 0.0000
0.0000 0.0000 13.9175
Ba Cd Pb Br
2 2 2 12
Direct
0.0000 0.0000 0.0000
0.0000 0.0000 0.5000
0.3333 0.6667 0.2500
0.6667 0.3333 0.7500
0.3333 0.6667 0.7500
0.6667 0.3333 0.2500
0.0233 0.3701 0.1316
0.0233 0.6532 0.3684
0.3468 0.3701 0.3684
0.3468 0.9767 0.1316
0.3701 0.0233 0.6316
0.3701 0.3468 0.8684
0.6299 0.6532 0.1316
0.6299 0.9767 0.3684
0.6532 0.0233 0.8684
0.6532 0.6299 0.6316
0.9767 0.3468 0.6316
0.9767 0.6299 0.8684
```

---

[4]
Simulated X-ray powder pattern of Nd8DyTm3 for Cu Kα (λ = 1.5418 Å), from DFT lattice parameters and positions (PBE).
Peak positions follow from Bragg's law for the DFT cell and can differ from measured ones.

Largest 8 diffraction maxima, by intensity, 2θ from 10° to 80°:
- d 2.814, 31.80°, rel. 100
- d 2.805, 31.91°, rel. 97
- d 1.691, 54.24°, rel. 65
- d 2.996, 29.82°, rel. 59
- d 2.985, 29.93°, rel. 58
- d 2.115, 42.76°, rel. 44
- d 1.593, 57.90°, rel. 27
- d 1.685, 54.47°, rel. 20

Cell and atoms:
```
Nd8DyTm3
1.0
3.5200 -5.9924 0.0000
3.5200 5.9924 0.0000
-2.4542 0.0000 9.5626
Nd Dy Tm
8 1 3
Direct
0.1790 0.6853 0.6664
0.1816 0.1816 0.1625
0.3147 0.8210 0.3336
0.3198 0.3198 0.8314
0.6802 0.6802 0.1686
0.6853 0.1790 0.6664
0.8184 0.8184 0.8375
0.8210 0.3147 0.3336
0.5000 0.5000 0.5000
0.0000 0.0000 0.5000
0.0000 0.5000 0.0000
0.5000 0.0000 0.0000
```